Computed powder XRD pattern
Compound: Sr2CaV2Si4O14
Radiation: Cu Kα, 1.54184 Å
Structure: DFT lattice parameters and positions (GGA+U)

Principal peaks in the range 2θ from 10° to 90°, low angle first:
- 4.587 Å, rel. 60.8, hkl 0 1 -1
- 3.616 Å, rel. 60.8, hkl 0 0 2
- 3.220 Å, rel. 85.2, hkl 1 2 1
- 3.207 Å, rel. 100.0, hkl 1 -2 0
- 2.799 Å, rel. 71.6, hkl 2 0 1
- 2.539 Å, rel. 49.2, hkl 1 0 3

Cell and atoms:
```
23
Lattice="5.6004 0.0000 0.0000 0.0280 7.8534 0.0000 2.5967 2.1964 7.2324" Properties=species:S:1:pos:R:3 pbc="T T T"
Sr 0.0000 0.0000 0.0000
Sr 2.4546 5.5579 2.3406
Ca 2.4668 2.1213 2.0038
V 2.6337 6.0425 7.0936
V 2.1558 7.9827 4.2981
Si 5.4239 8.2709 6.5671
Si 5.4559 3.7532 6.3496
Si 5.1619 7.4337 3.4250
Si 5.2123 4.1490 3.2152
O 2.3520 1.7179 4.8826
O 2.4881 6.3966 4.9732
O 4.0217 7.7917 7.2121
O 4.0672 4.3133 6.9939
O 3.7206 8.0129 2.9443
O 3.7363 3.6473 2.8769
O 5.3609 2.0863 6.6600
O 5.6022 7.8252 4.9689
O 5.6933 3.8807 4.7495
O 5.1577 5.8347 3.1306
O 4.1220 5.5840 0.1700
O 4.1111 2.0910 0.0137
O 6.5276 7.9785 2.6398
O 6.3352 3.6892 2.1329
```